Theoretical XRD peak list
Compound: Tb2BH
Radiation: Cu Kα, 1.54184 Å
Structure: DFT lattice parameters and positions (PBE)
Intensities are scaled so that the largest is 100.

Principal peaks in the range 15 to 90 degrees two-theta, low angle first:
28.93 deg, rel. 100
31.93 deg, rel. 26
34.43 deg, rel. 72
47.46 deg, rel. 29
51.46 deg, rel. 23
56.54 deg, rel. 16
58.34 deg, rel. 28
59.94 deg, rel. 14
76.85 deg, rel. 13
79.80 deg, rel. 13

Cell and atoms:
```
12
Lattice="3.832 0.000 0.000 -1.916 3.318 0.000 0.000 0.000 16.816" Properties=species:S:1:pos:R:3 pbc="T T T"
Tb 0.000 0.000 4.164
Tb 0.000 0.000 12.653
Tb 0.000 2.212 7.047
Tb 0.000 2.212 15.374
Tb 1.916 1.106 1.442
Tb 1.916 1.106 9.769
B 0.000 0.000 8.408
B 0.000 2.212 2.803
B 1.916 1.106 14.013
H 0.000 0.000 0.000
H 0.000 2.212 11.211
H 1.916 1.106 5.605
```

***

Theoretical XRD peak list
Compound: BTeH4
Radiation: Cu Kα, 1.54184 Å
Structure: DFT lattice parameters and positions (PBE)
Intensities are scaled so that the largest is 100.

Principal peaks in the range 15 to 90 degrees two-theta, low angle first:
17.43 deg, rel. 100
20.68 deg, rel. 55
24.78 deg, rel. 54
29.48 deg, rel. 24
29.94 deg, rel. 29
31.20 deg, rel. 25
31.54 deg, rel. 26
32.78 deg, rel. 22
35.31 deg, rel. 35
36.80 deg, rel. 30

Cell and atoms:
```
6
Lattice="3.040 0.000 0.000 -0.533 5.172 0.000 -0.882 -1.104 6.060" Properties=species:S:1:pos:R:3 pbc="T T T"
B 0.000 0.000 0.000
Te -0.594 3.714 1.598
H 0.731 0.941 0.128
H 0.749 1.099 3.640
H 1.031 1.584 4.141
H 0.976 3.895 5.068
```

***

Theoretical XRD peak list
Compound: Ti2BH2
Radiation: Cu Kα, 1.54184 Å
Structure: DFT lattice parameters and positions (PBE)
Intensities are scaled so that the largest is 100.

Principal peaks in the range 15 to 90 degrees two-theta, low angle first:
32.92 deg, rel. 100
37.04 deg, rel. 67
38.17 deg, rel. 98
38.79 deg, rel. 13
45.33 deg, rel. 24
49.09 deg, rel. 21
60.70 deg, rel. 46
63.06 deg, rel. 27
69.03 deg, rel. 11
70.76 deg, rel. 18

Cell and atoms:
```
10
Lattice="0.000 3.711 4.001 3.054 0.000 4.001 3.054 3.711 0.000" Properties=species:S:1:pos:R:3 pbc="T T T"
Ti 2.290 2.784 0.851
Ti 3.817 4.639 2.851
Ti 2.290 2.784 5.151
Ti 3.817 4.639 7.151
B 2.290 2.784 3.001
B 3.817 4.639 5.001
H 0.763 0.071 1.000
H 0.763 1.785 1.000
H 5.344 5.638 7.002
H 5.344 7.352 7.002
```

***

Theoretical XRD peak list
Compound: TiBH
Radiation: Cu Kα, 1.54184 Å
Structure: DFT lattice parameters and positions (PBE)
Intensities are scaled so that the largest is 100.

Principal peaks in the range 15 to 90 degrees two-theta, low angle first:
28.55 deg, rel. 36
34.11 deg, rel. 53
34.32 deg, rel. 82
37.30 deg, rel. 88
39.83 deg, rel. 100
41.00 deg, rel. 61
45.23 deg, rel. 60
47.47 deg, rel. 36
66.36 deg, rel. 30
74.15 deg, rel. 36

Cell and atoms:
```
12
Lattice="6.252 0.000 0.000 0.000 3.100 0.000 0.000 0.000 4.856" Properties=species:S:1:pos:R:3 pbc="T T T"
Ti 1.164 0.775 0.682
Ti 1.963 2.325 3.110
Ti 4.290 0.775 1.746
Ti 5.089 2.325 4.174
B 0.156 0.775 2.799
B 2.971 2.325 0.371
B 3.282 0.775 4.485
B 6.097 2.325 2.057
H 0.158 2.325 0.625
H 2.968 0.775 3.053
H 3.285 2.325 1.803
H 6.094 0.775 4.231
```

***

Theoretical XRD peak list
Compound: Tl3B2H8
Radiation: Cu Kα, 1.54184 Å
Structure: DFT lattice parameters and positions (PBE)
Intensities are scaled so that the largest is 100.

Principal peaks in the range 15 to 90 degrees two-theta, low angle first:
15.77 deg, rel. 19
23.22 deg, rel. 32
23.73 deg, rel. 21
25.40 deg, rel. 32
26.63 deg, rel. 100
35.37 deg, rel. 47
40.53 deg, rel. 33
49.16 deg, rel. 19
58.34 deg, rel. 21
65.54 deg, rel. 17

Cell and atoms:
```
13
Lattice="2.226 1.285 11.239 -2.226 1.285 11.239 0.000 -2.570 11.239" Properties=species:S:1:pos:R:3 pbc="T T T"
Tl 0.000 0.000 0.000
Tl 0.000 0.000 6.846
Tl 0.000 0.000 26.869
B 0.000 0.000 13.415
B 0.000 0.000 20.300
H 0.000 -1.167 13.806
H -1.011 0.584 13.806
H -1.011 -0.584 19.909
H 0.000 0.000 12.173
H 0.000 0.000 21.542
H 1.011 0.584 13.806
H 1.011 -0.584 19.909
H 0.000 1.167 19.909
```

***

Theoretical XRD peak list
Compound: TlB6H6
Radiation: Cu Kα, 1.54184 Å
Structure: DFT lattice parameters and positions (PBE)
Intensities are scaled so that the largest is 100.

Principal peaks in the range 15 to 90 degrees two-theta, low angle first:
16.46 deg, rel. 79
23.36 deg, rel. 100
28.71 deg, rel. 39
33.27 deg, rel. 19
37.33 deg, rel. 66
41.05 deg, rel. 43
50.86 deg, rel. 30
53.83 deg, rel. 21
56.68 deg, rel. 17
64.77 deg, rel. 25

Cell and atoms:
```
26
Lattice="0.000 5.386 5.386 5.386 0.000 5.386 5.386 5.386 0.000" Properties=species:S:1:pos:R:3 pbc="T T T"
Tl 2.693 2.693 2.693
Tl 8.079 8.079 8.079
B 6.270 5.386 1.442
B 5.386 1.442 4.501
B 9.330 4.501 5.386
B 4.501 5.386 1.442
B 9.330 6.270 5.386
B 5.386 1.442 6.270
B 5.386 9.330 4.501
B 1.442 4.501 5.386
B 6.270 5.386 9.330
B 1.442 6.270 5.386
B 5.386 9.330 6.270
B 4.501 5.386 9.330
H 6.891 5.386 2.477
H 5.386 2.477 3.881
H 8.295 3.881 5.386
H 3.881 5.386 2.477
H 8.295 6.891 5.386
H 5.386 2.477 6.891
H 5.386 8.295 3.881
H 2.477 3.881 5.386
H 6.891 5.386 8.295
H 2.477 6.891 5.386
H 5.386 8.295 6.891
H 3.881 5.386 8.295
```

***

Theoretical XRD peak list
Compound: UB4H16
Radiation: Cu Kα, 1.54184 Å
Structure: DFT lattice parameters and positions (PBE)
Intensities are scaled so that the largest is 100.

Principal peaks in the range 15 to 90 degrees two-theta, low angle first:
16.07 deg, rel. 11
17.63 deg, rel. 100
21.68 deg, rel. 11
22.46 deg, rel. 16
26.81 deg, rel. 14
27.16 deg, rel. 28
33.30 deg, rel. 14
36.75 deg, rel. 18
39.78 deg, rel. 13
40.26 deg, rel. 14

Cell and atoms:
```
42
Lattice="3.958 -3.845 0.000 3.958 3.845 0.000 0.000 0.000 12.258" Properties=species:S:1:pos:R:3 pbc="T T T"
U 3.958 2.402 9.193
U 3.958 -2.402 3.064
B 1.689 0.800 9.193
B 3.958 1.848 6.760
B 3.958 1.848 11.626
B 1.689 -0.800 3.064
B 6.227 0.800 9.193
B 3.958 -1.848 0.632
B 3.958 -1.848 5.497
B 6.227 -0.800 3.064
H 2.957 2.497 7.135
H 2.957 2.497 11.252
H 2.334 1.811 3.064
H 1.155 0.378 8.168
H 1.155 0.378 10.219
H 1.155 -0.378 2.039
H 1.155 -0.378 4.090
H 3.958 1.581 0.535
H 3.958 1.581 5.594
H 4.959 2.497 7.135
H 4.959 2.497 11.252
H 2.867 0.408 9.193
H 3.958 0.852 7.509
H 3.958 0.852 10.878
H 2.867 -0.408 3.064
H 5.582 1.811 3.064
H 2.334 -1.811 9.193
H 5.049 0.408 9.193
H 3.958 -0.852 1.380
H 3.958 -0.852 4.749
H 5.049 -0.408 3.064
H 2.957 -2.497 1.006
H 2.957 -2.497 5.123
H 3.958 -1.581 6.664
H 3.958 -1.581 11.723
H 6.761 0.378 8.168
H 6.761 0.378 10.219
H 6.761 -0.378 2.039
H 6.761 -0.378 4.090
H 5.582 -1.811 9.193
H 4.959 -2.497 1.006
H 4.959 -2.497 5.123
```

***

Theoretical XRD peak list
Compound: VB2H8
Radiation: Cu Kα, 1.54184 Å
Structure: DFT lattice parameters and positions (PBE)
Intensities are scaled so that the largest is 100.

Principal peaks in the range 15 to 90 degrees two-theta, low angle first:
16.69 deg, rel. 100
17.10 deg, rel. 62
27.70 deg, rel. 11
29.60 deg, rel. 20
33.72 deg, rel. 13
34.05 deg, rel. 18
35.17 deg, rel. 14
41.29 deg, rel. 9
42.20 deg, rel. 11
46.71 deg, rel. 9

Cell and atoms:
```
22
Lattice="5.801 -3.092 0.000 5.801 3.092 0.000 -2.668 0.000 5.322" Properties=species:S:1:pos:R:3 pbc="T T T"
V 3.800 2.846 3.992
V 5.134 -2.846 1.331
B 3.563 1.649 2.197
B 6.705 1.649 0.464
B 2.229 -1.649 4.858
B 5.371 -1.649 3.125
H 0.428 0.604 2.729
H 4.071 1.963 1.058
H 2.984 0.645 1.867
H 1.762 -0.604 0.068
H 3.203 1.356 4.884
H 6.197 1.963 1.603
H 4.397 1.356 3.100
H 1.650 -0.645 4.528
H 7.284 0.645 0.794
H 4.537 -1.356 2.222
H 2.737 -1.963 3.719
H 5.731 -1.356 0.439
H 7.172 0.604 5.255
H 5.950 -0.645 3.455
H 4.863 -1.963 4.265
H 8.506 -0.604 2.594
```

***

Theoretical XRD peak list
Compound: V3B2H
Radiation: Cu Kα, 1.54184 Å
Structure: DFT lattice parameters and positions (PBE)
Intensities are scaled so that the largest is 100.

Principal peaks in the range 15 to 90 degrees two-theta, low angle first:
36.93 deg, rel. 100
42.82 deg, rel. 25
42.94 deg, rel. 49
62.25 deg, rel. 36
62.43 deg, rel. 7
74.55 deg, rel. 11
74.66 deg, rel. 11
74.78 deg, rel. 10
78.52 deg, rel. 7
78.68 deg, rel. 7

Cell and atoms:
```
12
Lattice="2.983 0.000 0.000 0.000 4.224 0.000 0.000 0.000 8.925" Properties=species:S:1:pos:R:3 pbc="T T T"
V 0.000 0.000 0.000
V 0.000 0.000 2.933
V 0.000 0.000 5.992
V 1.491 2.112 1.530
V 1.491 2.112 4.462
V 1.491 2.112 7.395
B 0.000 2.112 2.974
B 0.000 2.112 5.951
B 1.491 0.000 1.488
B 1.491 0.000 7.437
H 0.000 2.112 0.000
H 1.491 0.000 4.462
```

***

> Which formula does entry 3 have?

Ti2BH2